Simulated powder diffractogram
Compound: Er4CdGa12
Radiation: copper Kα
Structure: DFT lattice parameters and positions (PBE)
Neutral-atom scattering factors, no anomalous dispersion.

Most intense lines, 2θ from 15° to 90°, in order of falling intensity:
- 35.6°, rel. 100, hkl 2 2 2
- 41.4°, rel. 67, hkl 4 0 0
- 28.9°, rel. 49, hkl 2 2 0
- 60.0°, rel. 36, hkl 4 4 0
- 71.7°, rel. 27, hkl 6 2 2
- 67.9°, rel. 16, hkl 6 2 0

Cell: 8.728 8.728 8.728 Å, 90.00 90.00 90.00°
Space group Im-3m (No. 229)
Inequivalent atoms, fractional coordinates:
Er 0.250 0.250 0.250 (multiplicity 8)
Cd 0.000 0.000 0.000 (multiplicity 2)
Ga 0.000 0.000 0.312 (multiplicity 12)
Ga 0.000 0.250 0.500 (multiplicity 12)

=====

Simulated powder diffractogram
Compound: Dy2MnPd6
Radiation: copper Kα
Structure: DFT lattice parameters and positions (PBE)
Neutral-atom scattering factors, no anomalous dispersion.

Most intense lines, 2θ from 15° to 90°, in order of falling intensity:
- 39.9°, rel. 100, hkl 1 2 3
- 26.6°, rel. 30, hkl 1 1 0
- 43.1°, rel. 20, hkl 0 0 6
- 24.1°, rel. 18, hkl 0 1 3
- 49.1°, rel. 15, hkl 2 0 0
- 41.0°, rel. 14, hkl 0 3 3

Cell: 3.707 7.762 12.583 Å, 90.00 90.00 90.00°
Space group Immm (No. 71)
Inequivalent atoms, fractional coordinates:
Dy 0.000 0.000 0.154 (multiplicity 4)
Mn 0.000 0.000 0.500 (multiplicity 2)
Pd 0.000 0.218 0.335 (multiplicity 8)
Pd 0.000 0.268 0.000 (multiplicity 4)

=====

Simulated powder diffractogram
Compound: Tl7HgTe4
Radiation: copper Kα
Structure: DFT lattice parameters and positions (PBE)
Neutral-atom scattering factors, no anomalous dispersion.

Most intense lines, 2θ from 15° to 90°, in order of falling intensity:
- 27.2°, rel. 100, hkl 3 1 -1
- 38.7°, rel. 58, hkl 0 2 0
- 26.9°, rel. 54, hkl 0 0 4
- 38.5°, rel. 36, hkl 3 1 -5
- 47.7°, rel. 23, hkl 0 2 4
- 63.1°, rel. 15, hkl 3 3 -1

Cell: 13.877 4.660 14.074 Å, 90.00 109.47 90.00°
Space group Cm (No. 8)
Inequivalent atoms, fractional coordinates:
Tl 0.000 0.000 0.000 (multiplicity 2)
Tl 0.017 0.500 0.538 (multiplicity 2)
Tl 0.142 0.000 0.269 (multiplicity 2)
Tl 0.202 0.500 0.038 (multiplicity 2)
Tl 0.281 0.000 0.767 (multiplicity 2)
Tl 0.328 0.500 0.536 (multiplicity 2)
Tl 0.455 0.000 0.272 (multiplicity 2)
Hg 0.465 0.500 0.769 (multiplicity 2)
Te 0.109 0.500 0.781 (multiplicity 2)
Te 0.167 0.000 0.507 (multiplicity 2)
Te 0.305 0.500 0.301 (multiplicity 2)
Te 0.361 0.000 0.028 (multiplicity 2)

=====

Simulated powder diffractogram
Compound: YMgBe
Radiation: copper Kα
Structure: DFT lattice parameters and positions (PBE)
Neutral-atom scattering factors, no anomalous dispersion.

Most intense lines, 2θ from 15° to 90°, in order of falling intensity:
- 28.3°, rel. 100, hkl 1 0 1
- 35.8°, rel. 94, hkl 1 0 3
- 15.2°, rel. 64, hkl 0 0 2
- 38.9°, rel. 44, hkl 1 1 0
- 30.6°, rel. 32, hkl 0 0 4
- 50.3°, rel. 31, hkl 1 1 4

Cell: 3.273 3.273 11.682 Å, 90.00 90.00 90.00°
Space group I4mm (No. 107)
Inequivalent atoms, fractional coordinates:
Y 0.000 0.000 0.000 (multiplicity 2)
Mg 0.000 0.000 0.280 (multiplicity 2)
Be 0.000 0.000 0.652 (multiplicity 2)

=====

Simulated powder diffractogram
Compound: CeErGe2O8
Radiation: copper Kα
Structure: DFT lattice parameters and positions (PBE)
Neutral-atom scattering factors, no anomalous dispersion.

Most intense lines, 2θ from 15° to 90°, in order of falling intensity:
- 29.5°, rel. 100, hkl 1 1 2
- 48.3°, rel. 30, hkl 2 0 4
- 59.6°, rel. 28, hkl 1 3 2
- 35.2°, rel. 20, hkl 2 0 0
- 55.4°, rel. 17, hkl 1 1 6
- 32.0°, rel. 15, hkl 0 0 4

Cell: 5.101 5.101 11.195 Å, 90.00 90.00 90.00°
Space group I-4 (No. 82)
Inequivalent atoms, fractional coordinates:
Ce 0.000 0.000 0.000 (multiplicity 2)
Er 0.000 0.500 0.750 (multiplicity 2)
Ge 0.000 0.000 0.500 (multiplicity 2)
Ge 0.000 0.500 0.250 (multiplicity 2)
O 0.156 0.257 0.582 (multiplicity 8)
O 0.160 0.756 0.169 (multiplicity 8)

=====

Simulated powder diffractogram
Compound: BeCrPt
Radiation: copper Kα
Structure: DFT lattice parameters and positions (PBE)
Neutral-atom scattering factors, no anomalous dispersion.

Most intense lines, 2θ from 15° to 90°, in order of falling intensity:
- 38.9°, rel. 100, hkl 1 1 3
- 23.7°, rel. 50, hkl 0 2 0
- 42.7°, rel. 45, hkl 1 3 1
- 25.3°, rel. 43, hkl 1 1 1
- 40.1°, rel. 29, hkl 2 0 0
- 47.1°, rel. 20, hkl 2 2 0

Cell: 4.496 7.496 8.681 Å, 90.00 90.00 90.00°
Space group Fmmm (No. 69)
Inequivalent atoms, fractional coordinates:
Be 0.250 0.250 0.250 (multiplicity 8)
Cr 0.000 0.160 0.000 (multiplicity 8)
Pt 0.000 0.000 0.347 (multiplicity 8)

=====

Simulated powder diffractogram
Compound: Ca3Cu2Sn7
Radiation: copper Kα
Structure: DFT lattice parameters and positions (PBE)
Neutral-atom scattering factors, no anomalous dispersion.

Most intense lines, 2θ from 15° to 90°, in order of falling intensity:
- 33.5°, rel. 100, hkl 1 1 3
- 27.5°, rel. 48, hkl 1 -1 1
- 43.9°, rel. 46, hkl 1 2 -3
- 32.3°, rel. 45, hkl 1 1 -3
- 42.5°, rel. 44, hkl 2 0 0
- 30.8°, rel. 37, hkl 0 0 5

Cell: 4.253 5.229 14.553 Å, 93.45 90.03 90.01°
Space group P-1 (No. 2)
Inequivalent atoms, fractional coordinates:
Ca 0.000 0.000 0.000 (multiplicity 1)
Ca 0.000 0.329 0.612 (multiplicity 2)
Cu 0.499 0.766 0.859 (multiplicity 2)
Sn 0.001 0.157 0.247 (multiplicity 2)
Sn 0.499 0.252 0.796 (multiplicity 2)
Sn 0.499 0.826 0.579 (multiplicity 2)
Sn 0.500 0.500 0.000 (multiplicity 1)

=====

Simulated powder diffractogram
Compound: Pa2Cu17
Radiation: copper Kα
Structure: DFT lattice parameters and positions (PBE)
Neutral-atom scattering factors, no anomalous dispersion.

Most intense lines, 2θ from 15° to 90°, in order of falling intensity:
- 42.6°, rel. 100, hkl 0 3 3
- 42.3°, rel. 61, hkl 2 2 0
- 43.5°, rel. 51, hkl 0 0 6
- 36.4°, rel. 47, hkl 3 0 0
- 30.0°, rel. 46, hkl 1 1 3
- 37.8°, rel. 35, hkl 0 2 4

Cell: 8.5440 8.5440 12.4595 Å, 90.00 90.00 120.00°
Space group R-3m (No. 166, hexagonal axes)
Inequivalent atoms, fractional coordinates:
Pa 0.0000 0.0000 0.1530 (multiplicity 6)
Cu 0.0000 0.0000 0.3997 (multiplicity 6)
Cu 0.0000 0.2970 0.5000 (multiplicity 18)
Cu 0.0000 0.5000 0.0000 (multiplicity 9)
Cu 0.0021 0.5010 0.6517 (multiplicity 18)

=====

Simulated powder diffractogram
Compound: Ba2ZnAuS
Radiation: copper Kα
Structure: DFT lattice parameters and positions (PBE)
Neutral-atom scattering factors, no anomalous dispersion.

Most intense lines, 2θ from 15° to 90°, in order of falling intensity:
- 27.7°, rel. 100, hkl 1 1 1
- 29.4°, rel. 56, hkl 2 0 0
- 51.1°, rel. 37, hkl 3 1 1
- 48.0°, rel. 28, hkl 2 0 2
- 42.0°, rel. 21, hkl 2 2 0
- 57.3°, rel. 17, hkl 2 2 2

Cell: 6.083 6.083 4.846 Å, 90.00 90.00 90.00°
Space group P4/mmm (No. 123)
Inequivalent atoms, fractional coordinates:
Ba 0.000 0.500 0.000 (multiplicity 2)
Zn 0.000 0.000 0.500 (multiplicity 1)
Au 0.500 0.500 0.500 (multiplicity 1)
S 0.500 0.500 0.000 (multiplicity 1)

=====

Simulated powder diffractogram
Compound: Sr2Zn3Sn4Ir
Radiation: copper Kα
Structure: DFT lattice parameters and positions (PBE)
Neutral-atom scattering factors, no anomalous dispersion.

Most intense lines, 2θ from 15° to 90°, in order of falling intensity:
- 31.3°, rel. 100, hkl 1 1 2
- 38.3°, rel. 71, hkl 2 0 0
- 42.4°, rel. 48, hkl 1 1 4
- 30.7°, rel. 43, hkl 1 0 3
- 16.0°, rel. 27, hkl 0 0 2
- 64.9°, rel. 25, hkl 3 1 2

Cell: 4.705 4.705 11.096 Å, 90.00 90.00 90.00°
Space group P-4m2 (No. 115)
Inequivalent atoms, fractional coordinates:
Sr 0.000 0.500 0.233 (multiplicity 2)
Zn 0.000 0.000 0.000 (multiplicity 1)
Zn 0.000 0.500 0.640 (multiplicity 2)
Sn 0.000 0.000 0.500 (multiplicity 1)
Sn 0.000 0.500 0.880 (multiplicity 2)
Sn 0.500 0.500 0.500 (multiplicity 1)
Ir 0.500 0.500 0.000 (multiplicity 1)

=====

Simulated powder diffractogram
Compound: KPrBr4
Radiation: copper Kα
Structure: DFT lattice parameters and positions (PBE)
Neutral-atom scattering factors, no anomalous dispersion.

Most intense lines, 2θ from 15° to 90°, in order of falling intensity:
- 31.0°, rel. 100, hkl 1 3 -2
- 31.5°, rel. 53, hkl 0 2 2
- 27.8°, rel. 53, hkl 3 1 -1
- 34.2°, rel. 50, hkl 2 2 1
- 34.8°, rel. 45, hkl 3 3 -2
- 28.9°, rel. 35, hkl 0 4 1

Cell: 9.965 14.240 7.418 Å, 90.00 123.24 90.00°
Space group C2/c (No. 15)
Inequivalent atoms, fractional coordinates:
K 0.000 0.138 0.250 (multiplicity 4)
Pr 0.000 0.495 0.750 (multiplicity 4)
Br 0.105 0.339 0.568 (multiplicity 8)
Br 0.225 0.061 0.792 (multiplicity 8)

=====

Simulated powder diffractogram
Compound: Pm4Ga5Au3
Radiation: copper Kα
Structure: DFT lattice parameters and positions (PBE)
Neutral-atom scattering factors, no anomalous dispersion.

Most intense lines, 2θ from 15° to 90°, in order of falling intensity:
- 29.1°, rel. 100, hkl 3 1 0
- 34.3°, rel. 86, hkl 1 1 -3
- 39.5°, rel. 54, hkl 0 2 0
- 35.0°, rel. 41, hkl 4 0 -4
- 41.8°, rel. 39, hkl 2 0 3
- 26.4°, rel. 38, hkl 3 1 -1

Cell: 15.120 4.566 10.366 Å, 90.00 124.74 90.00°
Space group C2/m (No. 12)
Inequivalent atoms, fractional coordinates:
Pm 0.015 0.000 0.310 (multiplicity 4)
Pm 0.233 0.500 0.225 (multiplicity 4)
Ga 0.000 0.500 0.000 (multiplicity 2)
Ga 0.095 0.500 0.599 (multiplicity 4)
Ga 0.212 0.500 0.504 (multiplicity 4)
Au 0.000 0.000 0.000 (multiplicity 2)
Au 0.188 0.500 0.900 (multiplicity 4)

=====

Simulated powder diffractogram
Compound: Dy3C2F
Radiation: copper Kα
Structure: DFT lattice parameters and positions (PBE)
Neutral-atom scattering factors, no anomalous dispersion.

Most intense lines, 2θ from 15° to 90°, in order of falling intensity:
- 29.2°, rel. 100, hkl 0 2 3
- 34.0°, rel. 47, hkl 1 3 1
- 30.6°, rel. 41, hkl 1 1 2
- 58.9°, rel. 28, hkl 2 2 3
- 26.8°, rel. 23, hkl 1 1 1
- 47.9°, rel. 22, hkl 1 5 2

Cell: 3.650 12.262 10.578 Å, 90.00 90.00 90.00°
Space group Cmcm (No. 63)
Inequivalent atoms, fractional coordinates:
Dy 0.000 0.086 0.250 (multiplicity 4)
Dy 0.000 0.386 0.076 (multiplicity 8)
C 0.000 0.000 0.000 (multiplicity 4)
C 0.000 0.477 0.250 (multiplicity 4)
F 0.000 0.269 0.750 (multiplicity 4)

=====

Simulated powder diffractogram
Compound: CaNd2TmSb4
Radiation: copper Kα
Structure: DFT lattice parameters and positions (PBE)
Neutral-atom scattering factors, no anomalous dispersion.

Most intense lines, 2θ from 15° to 90°, in order of falling intensity:
- 28.2°, rel. 100, hkl 1 1 1
- 40.1°, rel. 26, hkl 1 1 -3
- 40.5°, rel. 25, hkl 3 1 -1
- 49.9°, rel. 14, hkl 2 2 -2
- 40.3°, rel. 13, hkl 0 2 0
- 40.2°, rel. 13, hkl 2 0 2

Cell: 7.709 4.473 7.816 Å, 90.00 109.41 90.00°
Space group P2/m (No. 10)
Inequivalent atoms, fractional coordinates:
Ca 0.000 0.000 0.000 (multiplicity 1)
Nd 0.500 0.000 0.500 (multiplicity 1)
Nd 0.500 0.500 0.000 (multiplicity 1)
Tm 0.000 0.500 0.500 (multiplicity 1)
Sb 0.241 0.000 0.742 (multiplicity 2)
Sb 0.246 0.500 0.255 (multiplicity 2)